Record 1
Starting from the GGA-PBE geometry in Alexandria, the powder XRD pattern of NdPaS was simulated for Cu Kα X-rays.
Peak positions follow from Bragg's law for the DFT cell and can differ from measured ones.

Atomic structure:
```
data_NdPaS
_chemical_formula_sum 'Nd4 Pa4 S4'
_space_group_name_H-M_alt 'C 1 2/m 1'
_space_group_IT_number 12
_space_group_name_Hall '-C 2y'
_cell_length_a 11.0861
_cell_length_b 5.5690
_cell_length_c 5.5892
_cell_angle_alpha 90.00
_cell_angle_beta 116.67
_cell_angle_gamma 90.00
loop_
_atom_site_label
_atom_site_type_symbol
_atom_site_fract_x
_atom_site_fract_y
_atom_site_fract_z
Nd1 Nd 0.1430 0.0000 0.3925
Pa1 Pa 0.0825 0.5000 0.8698
S1 S 0.1389 0.0000 0.8885
```

Largest 8 diffraction maxima, low angle first, 2θ = 10–90°:
4.854 Å, I 16; 3.152 Å, I 94; 3.021 Å, I 59; 2.840 Å, I 18; 2.787 Å, I 100; 2.477 Å, I 17; 1.971 Å, I 35; 1.693 Å, I 17

Record 2
Starting from the GGA-PBE geometry in Alexandria, the powder XRD pattern of Rb2CaHgSb2 was simulated for Cu Kα X-rays.
Peak positions follow from Bragg's law for the DFT cell and can differ from measured ones.

Atomic structure:
```
data_Rb2CaHgSb2
_chemical_formula_sum 'Rb8 Ca4 Hg4 Sb8'
_space_group_name_H-M_alt 'I b a m'
_space_group_IT_number 72
_space_group_name_Hall '-I 2 2c'
_cell_length_a 7.1665
_cell_length_b 17.1747
_cell_length_c 7.4762
_cell_angle_alpha 90.00
_cell_angle_beta 90.00
_cell_angle_gamma 90.00
loop_
_atom_site_label
_atom_site_type_symbol
_atom_site_fract_x
_atom_site_fract_y
_atom_site_fract_z
Rb1 Rb 0.2316 0.1749 0.0000
Ca1 Ca 0.0000 0.5000 0.2500
Hg1 Hg 0.0000 0.0000 0.2500
Sb1 Sb 0.2403 0.0996 0.5000
```

Largest 8 diffraction maxima, low angle first, 2θ = 10–90°:
8.587 Å, I 79; 6.614 Å, I 57; 3.427 Å, I 30; 3.305 Å, I 100; 2.867 Å, I 23; 2.819 Å, I 61; 2.751 Å, I 56; 2.587 Å, I 84

Record 3
Starting from the GGA-PBE geometry in Alexandria, the powder XRD pattern of NaHfNbSnO6 was simulated for Cu Kα X-rays.
Peak positions follow from Bragg's law for the DFT cell and can differ from measured ones.

Atomic structure:
```
data_NaHfNbSnO6
_chemical_formula_sum 'Na4 Hf4 Nb4 Sn4 O24'
_space_group_name_H-M_alt 'F -4 3 m'
_space_group_IT_number 216
_space_group_name_Hall 'F -4 2 3'
_cell_length_a 8.1576
_cell_length_b 8.1576
_cell_length_c 8.1576
_cell_angle_alpha 90.00
_cell_angle_beta 90.00
_cell_angle_gamma 90.00
loop_
_atom_site_label
_atom_site_type_symbol
_atom_site_fract_x
_atom_site_fract_y
_atom_site_fract_z
Na1 Na 0.0000 0.0000 0.0000
Hf1 Hf 0.2500 0.2500 0.7500
Nb1 Nb 0.2500 0.2500 0.2500
Sn1 Sn 0.0000 0.0000 0.5000
O1 O 0.0039 0.2500 0.2500
```

Largest 8 diffraction maxima, low angle first, 2θ = 10–90°:
4.710 Å, I 23; 4.079 Å, I 22; 2.884 Å, I 100; 2.460 Å, I 14; 2.039 Å, I 33; 1.665 Å, I 41; 1.442 Å, I 20; 1.290 Å, I 18